For Sr5Ti5O13, a cell relaxed with PBE gives the simulated powder XRD pattern in this record (Cu Kα).

Peak list (6 most intense, 5° ≤ 2θ ≤ 70°, in order of rising 2θ)
| 2θ/deg | d (Å) | I_rel | (hkl) |
| --- | --- | --- | --- |
| 32.00 | 2.797 | 100.0 | -1 2 1 |
| 32.07 | 2.791 | 21.8 | 1 0 3 |
| 39.47 | 2.283 | 21.2 | 2 1 3 |
| 45.78 | 1.982 | 15.3 | 2 2 0 |
| 56.99 | 1.616 | 23.9 | 1 4 1 |
| 57.10 | 1.613 | 18.5 | 0 4 3 |

Structure:
Lattice parameters (Å, degrees): 5.6012 6.8501 8.8208 75.12 71.57 89.90
Space group P-1 (No. 2)
Inequivalent atoms, fractional coordinates:
Sr (0.0000, 0.0000, 0.0000) (multiplicity 1)
Sr (0.2032, 0.7987, 0.6035) (multiplicity 2)
Sr (0.4013, 0.5975, 0.1944) (multiplicity 2)
Ti (0.0000, 0.5000, 0.0000) (multiplicity 1)
Ti (0.2073, 0.2934, 0.6111) (multiplicity 2)
Ti (0.3889, 0.1073, 0.2081) (multiplicity 2)
O (0.0894, 0.4314, 0.7840) (multiplicity 2)
O (0.1152, 0.8825, 0.2931) (multiplicity 2)
O (0.2040, 0.2818, 0.0831) (multiplicity 2)
O (0.2816, 0.2056, 0.4016) (multiplicity 2)
O (0.3057, 0.7044, 0.9093) (multiplicity 2)
O (0.3918, 0.0974, 0.7104) (multiplicity 2)
O (0.5000, 0.5000, 0.5000) (multiplicity 1)

=====

For Sr2Ti6O13, a cell relaxed with PBE gives the simulated powder XRD pattern in this record (Cu Kα).

Peak list (6 most intense, 5° ≤ 2θ ≤ 70°, in order of rising 2θ)
| 2θ/deg | d (Å) | I_rel | (hkl) |
| --- | --- | --- | --- |
| 29.27 | 3.052 | 60.6 | 3 1 0 |
| 30.00 | 2.978 | 100.0 | 2 0 -3 |
| 31.77 | 2.817 | 34.4 | 3 1 1 |
| 43.44 | 2.083 | 40.8 | 4 0 -4 |
| 44.79 | 2.024 | 32.0 | 6 0 2 |
| 46.29 | 1.961 | 44.7 | 0 2 0 |

Structure:
Lattice parameters (Å, degrees): 14.7367 3.9227 9.2573 90.00 98.59 90.00
Space group C2/m (No. 12)
Inequivalent atoms, fractional coordinates:
Sr (0.0489, 0.0000, 0.2790) (multiplicity 4)
Ti (0.1229, 0.5000, 0.5952) (multiplicity 4)
Ti (0.1644, 0.5000, 0.9412) (multiplicity 4)
Ti (0.2434, 0.5000, 0.2696) (multiplicity 4)
O (0.0000, 0.5000, 0.5000) (multiplicity 2)
O (0.0650, 0.5000, 0.7979) (multiplicity 4)
O (0.1245, 0.5000, 0.1171) (multiplicity 4)
O (0.1277, 0.0000, 0.6138) (multiplicity 4)
O (0.1674, 0.5000, 0.4112) (multiplicity 4)
O (0.1979, 0.0000, 0.9303) (multiplicity 4)
O (0.2439, 0.5000, 0.7478) (multiplicity 4)

=====

For SrTi2O5, a cell relaxed with PBE gives the simulated powder XRD pattern in this record (Cu Kα).

Peak list (6 most intense, 5° ≤ 2θ ≤ 70°, in order of rising 2θ)
| 2θ/deg | d (Å) | I_rel | (hkl) |
| --- | --- | --- | --- |
| 7.23 | 12.230 | 100.0 | 0 0 1 |
| 21.80 | 4.077 | 3.0 | 0 0 3 |
| 26.58 | 3.353 | 3.2 | 0 4 2 |
| 27.06 | 3.295 | 3.3 | 2 0 2 |
| 32.81 | 2.729 | 4.9 | 2 4 1 |
| 35.26 | 2.546 | 4.2 | 2 4 2 |

Structure:
Lattice parameters (Å, degrees): 7.8222 16.0400 12.2299 90.00 90.00 90.00
Space group Cmm2 (No. 35)
Inequivalent atoms, fractional coordinates:
Sr (0.2422, 0.1369, 0.0000) (multiplicity 8)
Ti (0.0000, 0.0000, 0.1339) (multiplicity 2)
Ti (0.0000, 0.1337, 0.3230) (multiplicity 4)
Ti (0.0000, 0.2613, 0.1496) (multiplicity 4)
Ti (0.0000, 0.5000, 0.1248) (multiplicity 2)
Ti (0.2370, 0.5000, 0.3261) (multiplicity 4)
O (0.0000, 0.0000, 0.2969) (multiplicity 2)
O (0.0000, 0.0000, 0.9860) (multiplicity 2)
O (0.0000, 0.1223, 0.1595) (multiplicity 4)
O (0.0000, 0.2406, 0.9832) (multiplicity 4)
O (0.0000, 0.2435, 0.3037) (multiplicity 4)
O (0.0000, 0.3766, 0.1280) (multiplicity 4)
O (0.0000, 0.5000, 0.3104) (multiplicity 2)
O (0.0000, 0.5000, 0.9788) (multiplicity 2)
O (0.2068, 0.1003, 0.3868) (multiplicity 8)
O (0.2462, 0.5000, 0.1599) (multiplicity 4)
O (0.2500, 0.2500, 0.1351) (multiplicity 4)